1.
Fe3SnBr9: computed X-ray powder pattern (Cu Kα (λ = 1.5418 Å)), based on the PBE geometry in Alexandria.

Peak list (8 most intense, 10° ≤ 2θ ≤ 90°, in order of rising 2θ)
| hkl | d [Å] | two_theta | I/Imax |
| --- | --- | --- | --- |
| 1 1 1 | 5.451 | 16.3 | 100.0 |
| 3 1 -2 | 5.062 | 17.5 | 56.3 |
| 0 2 2 | 3.528 | 25.2 | 40.2 |
| 5 1 -2 | 3.502 | 25.4 | 59.5 |
| 2 2 -3 | 3.269 | 27.3 | 57.7 |
| 2 0 -4 | 3.202 | 27.9 | 59.3 |
| 4 2 0 | 2.879 | 31.1 | 45.0 |
| 7 1 -5 | 2.399 | 37.5 | 39.2 |

Unit cell a=18.9664 b=9.6028 c=13.7218 alpha=90.00 beta=130.71 gamma=90.00
Space group Cc (No. 9)
Asymmetric unit:
Fe  0.0000  0.0834  0.0000 x4
Fe  0.1275  0.4140  0.9606 x4
Fe  0.2133  0.1099  0.8408 x4
Sn  0.3594  0.2273  0.6718 x4
Br  0.0564  0.1286  0.6325 x4
Br  0.1266  0.2513  0.0993 x4
Br  0.1959  0.3836  0.5960 x4
Br  0.2048  0.0688  0.4546 x4
Br  0.2447  0.3318  0.9500 x4
Br  0.3366  0.0722  0.8392 x4
Br  0.3728  0.3211  0.4745 x4
Br  0.4533  0.4869  0.3003 x4
Br  0.4878  0.0339  0.2514 x4


2.
SrFe3Br9: computed X-ray powder pattern (Cu Kα (λ = 1.5418 Å)), based on the PBE geometry in Alexandria.

Peak list (8 most intense, 10° ≤ 2θ ≤ 90°, in order of rising 2θ)
| hkl | d [Å] | two_theta | I/Imax |
| --- | --- | --- | --- |
| 1 1 1 | 5.487 | 16.2 | 100.0 |
| 3 1 -2 | 5.155 | 17.2 | 75.9 |
| 5 1 -2 | 3.569 | 25.0 | 61.4 |
| 0 2 2 | 3.544 | 25.1 | 42.4 |
| 3 1 1 | 3.366 | 26.5 | 43.6 |
| 2 0 2 | 3.349 | 26.6 | 42.7 |
| 2 2 -3 | 3.300 | 27.0 | 83.4 |
| 2 0 -4 | 3.266 | 27.3 | 78.4 |

Unit cell a=19.4295 b=9.5697 c=14.0577 alpha=90.00 beta=131.39 gamma=90.00
Space group Cc (No. 9)
Asymmetric unit:
Sr  0.0000  0.2270  0.0000 x4
Fe  0.1557  0.1129  0.8414 x4
Fe  0.2382  0.4095  0.7153 x4
Fe  0.3598  0.0804  0.6759 x4
Br  0.0300  0.0835  0.8327 x4
Br  0.1289  0.3388  0.7386 x4
Br  0.1646  0.0692  0.2348 x4
Br  0.1747  0.3874  0.0857 x4
Br  0.2280  0.2337  0.5774 x4
Br  0.3099  0.1347  0.0501 x4
Br  0.3842  0.4532  0.9188 x4
Br  0.4131  0.0125  0.8785 x4
Br  0.4765  0.1902  0.6903 x4


3.
SrFeBr4: computed X-ray powder pattern (Cu Kα (λ = 1.5418 Å)), based on the PBE geometry in Alexandria.

Peak list (8 most intense, 10° ≤ 2θ ≤ 90°, in order of rising 2θ)
| hkl | d [Å] | two_theta | I/Imax |
| --- | --- | --- | --- |
| 2 0 0 | 4.962 | 17.9 | 100.0 |
| 2 1 1 | 3.945 | 22.5 | 39.7 |
| 2 0 2 | 3.253 | 27.4 | 69.5 |
| 3 0 1 | 3.088 | 28.9 | 77.4 |
| 1 0 3 | 2.759 | 32.5 | 43.5 |
| 3 1 2 | 2.537 | 35.4 | 77.5 |
| 4 0 0 | 2.481 | 36.2 | 37.1 |
| 3 3 2 | 2.056 | 44.1 | 61.4 |

Unit cell a=9.9238 b=9.9238 c=8.6161 alpha=90.00 beta=90.00 gamma=90.00
Space group I4_1/amd (No. 141, origin choice 2)
Asymmetric unit:
Sr  0.0000  0.2500  0.3750 x4
Fe  0.0000  0.2500  0.8750 x4
Br  0.0000  0.0654  0.6891 x16


4.
FeTc4Br: computed X-ray powder pattern (Cu Kα (λ = 1.5418 Å)), based on the PBE geometry in Alexandria.

Peak list (8 most intense, 10° ≤ 2θ ≤ 90°, in order of rising 2θ)
| hkl | d [Å] | two_theta | I/Imax |
| --- | --- | --- | --- |
| 1 1 1 | 4.229 | 21.0 | 22.5 |
| 2 2 0 | 2.590 | 34.6 | 17.5 |
| 3 1 1 | 2.208 | 40.9 | 100.0 |
| 2 2 2 | 2.114 | 42.8 | 52.4 |
| 3 3 3 | 1.410 | 66.3 | 30.4 |
| 4 4 0 | 1.295 | 73.1 | 27.7 |
| 5 3 3 | 1.117 | 87.3 | 10.8 |
| 6 2 2 | 1.104 | 88.6 | 19.0 |

Unit cell a=7.3247 b=7.3247 c=7.3247 alpha=90.00 beta=90.00 gamma=90.00
Space group F-43m (No. 216)
Asymmetric unit:
Fe  0.0000  0.0000  0.0000 x4
Tc  0.1248  0.1248  0.3752 x16
Br  0.2500  0.2500  0.7500 x4


5.
Th6FeBr15: computed X-ray powder pattern (Cu Kα (λ = 1.5418 Å)), based on the PBE geometry in Alexandria.

Peak list (8 most intense, 10° ≤ 2θ ≤ 90°, in order of rising 2θ)
| hkl | d [Å] | two_theta | I/Imax |
| --- | --- | --- | --- |
| 1 1 0 | 8.282 | 10.7 | 78.6 |
| 2 1 1 | 4.782 | 18.6 | 29.6 |
| 3 2 1 | 3.130 | 28.5 | 39.5 |
| 4 0 0 | 2.928 | 30.5 | 100.0 |
| 4 4 0 | 2.070 | 43.7 | 73.3 |
| 4 4 4 | 1.691 | 54.3 | 25.4 |
| 8 4 0 | 1.309 | 72.1 | 31.7 |
| 8 4 4 | 1.195 | 80.3 | 23.5 |

Unit cell a=11.7124 b=11.7124 c=11.7124 alpha=90.00 beta=90.00 gamma=90.00
Space group Im-3m (No. 229)
Asymmetric unit:
Th  0.0000  0.0000  0.2373 x12
Fe  0.0000  0.0000  0.0000 x2
Br  0.0000  0.0000  0.5000 x6
Br  0.0000  0.2501  0.2501 x24


6.
TlFe2Br2: computed X-ray powder pattern (Cu Kα (λ = 1.5418 Å)), based on the PBE geometry in Alexandria.

Peak list (8 most intense, 10° ≤ 2θ ≤ 90°, in order of rising 2θ)
| hkl | d [Å] | two_theta | I/Imax |
| --- | --- | --- | --- |
| 0 0 4 | 4.918 | 18.0 | 22.9 |
| 1 0 3 | 3.132 | 28.5 | 100.0 |
| 1 0 5 | 2.642 | 33.9 | 14.3 |
| 1 1 2 | 2.442 | 36.8 | 25.8 |
| 1 1 6 | 1.999 | 45.4 | 46.8 |
| 1 0 9 | 1.863 | 48.9 | 19.2 |
| 2 0 0 | 1.783 | 51.2 | 17.3 |
| 2 1 3 | 1.550 | 59.7 | 27.3 |

Unit cell a=3.5655 b=3.5655 c=19.6705 alpha=90.00 beta=90.00 gamma=90.00
Space group I4/mmm (No. 139)
Asymmetric unit:
Tl  0.0000  0.0000  0.0000 x2
Fe  0.0000  0.5000  0.2500 x4
Br  0.0000  0.0000  0.3446 x4


7.
FeWBr6: computed X-ray powder pattern (Cu Kα (λ = 1.5418 Å)), based on the PBE geometry in Alexandria.

Peak list (8 most intense, 10° ≤ 2θ ≤ 90°, in order of rising 2θ)
| hkl | d [Å] | two_theta | I/Imax |
| --- | --- | --- | --- |
| 2 0 -2 | 4.932 | 18.0 | 100.0 |
| 0 2 0 | 4.814 | 18.4 | 48.0 |
| 3 1 -3 | 3.109 | 28.7 | 38.0 |
| 1 3 0 | 3.052 | 29.3 | 30.5 |
| 4 2 -3 | 2.606 | 34.4 | 32.2 |
| 4 0 -4 | 2.466 | 36.4 | 28.6 |
| 4 2 0 | 2.195 | 41.1 | 34.7 |
| 2 4 -2 | 2.163 | 41.8 | 31.2 |

Unit cell a=13.8394 b=9.6279 c=9.8543 alpha=90.00 beta=134.47 gamma=90.00
Space group C2/m (No. 12)
Asymmetric unit:
Fe  0.2500  0.2500  0.0000 x4
W  0.2500  0.2500  0.5000 x4
Br  0.0096  0.1934  0.1905 x8
Br  0.1728  0.5000  0.4834 x4
Br  0.1903  0.1835  0.6834 x8
Br  0.1955  0.5000  0.8952 x4


8.
ZnFeBr4: computed X-ray powder pattern (Cu Kα (λ = 1.5418 Å)), based on the PBE geometry in Alexandria.

Peak list (8 most intense, 10° ≤ 2θ ≤ 90°, in order of rising 2θ)
| hkl | d [Å] | two_theta | I/Imax |
| --- | --- | --- | --- |
| 1 0 1 | 5.525 | 16.0 | 23.5 |
| 0 0 2 | 4.251 | 20.9 | 100.0 |
| 2 0 0 | 3.635 | 24.5 | 24.5 |
| 2 0 2 | 2.763 | 32.4 | 23.4 |
| 2 2 0 | 2.570 | 34.9 | 51.8 |
| 2 2 2 | 2.199 | 41.0 | 65.3 |
| 4 0 2 | 1.671 | 54.9 | 26.4 |
| 2 2 4 | 1.638 | 56.2 | 25.2 |

Unit cell a=7.2692 b=7.2692 c=8.5022 alpha=90.00 beta=90.00 gamma=90.00
Space group P4_2/mmc (No. 131)
Asymmetric unit:
Zn  0.0000  0.5000  0.0000 x2
Fe  0.0000  0.0000  0.0000 x2
Br  0.2370  0.2478  0.0000 x8


9.
Ga2Br: computed X-ray powder pattern (Cu Kα (λ = 1.5418 Å)), based on the PBE geometry in Alexandria.

Peak list (8 most intense, 10° ≤ 2θ ≤ 90°, in order of rising 2θ)
| hkl | d [Å] | two_theta | I/Imax |
| --- | --- | --- | --- |
| 0 2 0 | 5.597 | 15.8 | 24.5 |
| 1 1 1 | 3.424 | 26.0 | 100.0 |
| 0 4 0 | 2.799 | 32.0 | 34.0 |
| 1 4 0 | 2.555 | 35.1 | 34.3 |
| 2 1 1 | 2.484 | 36.2 | 64.6 |
| 0 0 2 | 2.198 | 41.1 | 36.0 |
| 2 3 1 | 2.104 | 43.0 | 64.2 |
| 1 5 1 | 1.901 | 47.9 | 25.0 |

Unit cell a=6.2527 b=11.1949 c=4.3964 alpha=90.00 beta=90.00 gamma=90.00
Space group Ama2 (No. 40)
Asymmetric unit:
Ga  0.0000  0.0000  0.0000 x4
Ga  0.2500  0.0487  0.5000 x4
Br  0.2500  0.2810  0.4946 x4


10.
GaBr2: computed X-ray powder pattern (Cu Kα (λ = 1.5418 Å)), based on the PBE geometry in Alexandria.

Peak list (8 most intense, 10° ≤ 2θ ≤ 90°, in order of rising 2θ)
| hkl | d [Å] | two_theta | I/Imax |
| --- | --- | --- | --- |
| 3 0 0 | 6.845 | 12.9 | 65.6 |
| 1 3 1 | 4.748 | 18.7 | 34.6 |
| 6 0 0 | 3.427 | 26.0 | 49.0 |
| 5 1 1 | 3.390 | 26.3 | 100.0 |
| 0 4 2 | 3.294 | 27.1 | 78.2 |
| 2 3 2 | 3.176 | 28.1 | 45.6 |
| 5 0 2 | 2.969 | 30.1 | 35.0 |
| 0 7 2 | 2.423 | 37.1 | 44.3 |

Unit cell a=23.7134 b=23.7134 c=8.5980 alpha=90.00 beta=90.00 gamma=120.00
Space group R3c (No. 161, hexagonal axes)
Asymmetric unit:
Ga  0.1401  0.4309  0.0000 x18
Ga  0.1462  0.4606  0.4454 x18
Br  0.0149  0.2650  0.9797 x18
Br  0.0624  0.2147  0.5895 x18
Br  0.1353  0.0531  0.8817 x18
Br  0.1524  0.3738  0.3173 x18


11.
La8GaGe3Br4: computed X-ray powder pattern (Cu Kα (λ = 1.5418 Å)), based on the PBE geometry in Alexandria.

Peak list (8 most intense, 10° ≤ 2θ ≤ 90°, in order of rising 2θ)
| hkl | d [Å] | two_theta | I/Imax |
| --- | --- | --- | --- |
| 0 2 4 | 3.140 | 28.4 | 100.0 |
| 2 2 0 | 2.224 | 40.6 | 39.4 |
| 2 0 8 | 2.217 | 40.7 | 34.1 |
| 4 0 4 | 1.815 | 50.3 | 20.3 |
| 0 4 8 | 1.570 | 58.8 | 11.4 |
| 2 4 4 | 1.406 | 66.5 | 17.4 |
| 2 2 12 | 1.402 | 66.7 | 13.1 |
| 6 0 0 | 1.283 | 73.9 | 18.2 |

Unit cell a=8.8965 b=8.8965 c=21.6844 alpha=90.00 beta=90.00 gamma=120.00
Space group R-3m (No. 166, hexagonal axes)
Asymmetric unit:
La  0.0000  0.0000  0.2405 x6
La  0.9999  0.4999  0.2411 x18
Ga  0.0000  0.0000  0.5000 x3
Ge  0.0000  0.5000  0.5000 x9
Br  0.0000  0.0000  0.0000 x3
Br  0.0000  0.5000  0.0000 x9


12.
GaH4Br: computed X-ray powder pattern (Cu Kα (λ = 1.5418 Å)), based on the PBE geometry in Alexandria.

Peak list (8 most intense, 10° ≤ 2θ ≤ 90°, in order of rising 2θ)
| hkl | d [Å] | two_theta | I/Imax |
| --- | --- | --- | --- |
| 0 0 1 | 6.502 | 13.6 | 100.0 |
| 0 0 2 | 3.251 | 27.4 | 13.4 |
| 1 1 0 | 2.838 | 31.5 | 17.0 |
| 1 -1 0 | 2.826 | 31.7 | 16.7 |
| 1 1 1 | 2.812 | 31.8 | 15.9 |
| 1 -1 1 | 2.797 | 32.0 | 15.7 |
| 0 1 2 | 2.555 | 35.1 | 13.7 |
| -1 1 1 | 2.429 | 37.0 | 15.8 |

Unit cell a=4.0380 b=4.1314 c=6.7486 alpha=89.79 beta=74.48 gamma=89.71
Space group P1 (No. 1)
Asymmetric unit:
Ga  0.0000  0.0000  0.0000 x1
H  0.1822  0.0677  0.4986 x1
H  0.2843  0.9170  0.5047 x1
H  0.7681  0.4961  0.4342 x1
H  0.8037  0.4971  0.3184 x1
Br  0.5544  0.4993  0.8747 x1